(1)
LaIn5Co: calculated PXRD pattern (Cu Kα), based on a crystal structure in the Materials Project, relaxed with GGA-PBE.
Kinematic intensities with the Lorentz-polarization factor, no thermal factor.

Main lines, in order of rising 2θ (2θ = 10–80°):
index, 2theta, Rel. int.
1 1 1, 29.45, 54
0 0 3, 35.01, 24
1 1 2, 35.86, 100
2 0 0, 38.58, 59
1 1 3, 44.77, 7
2 0 3, 53.08, 29
1 1 4, 55.31, 6
2 2 0, 55.71, 20
3 1 1, 64.27, 11
1 1 5, 67.16, 14
2 2 3, 67.51, 14
3 1 2, 68.05, 29

Structural model:
Cell lengths 4.6670, 4.6670, 7.6889 Å; angles 90.00, 90.00, 90.00 degrees
Element x y z (fractional)
La 0.0000 0.0000 0.0000
In 0.0000 0.5000 0.3118
In 0.0000 0.5000 0.6882
In 0.5000 0.0000 0.3118
In 0.5000 0.0000 0.6882
In 0.5000 0.5000 0.0000
Co 0.0000 0.0000 0.5000

=====

(2)
NaNd2IrO6: calculated PXRD pattern (Cu Kα), based on a crystal structure in the Materials Project, relaxed with GGA-PBE.
Kinematic intensities with the Lorentz-polarization factor, no thermal factor.

Main lines, in order of rising 2θ (2θ = 10–80°):
index, 2theta, Rel. int.
0 1 1, 18.49, 62
1 0 -2, 19.60, 34
0 2 0, 29.85, 38
1 1 1, 31.10, 100
1 1 -3, 31.51, 98
0 2 1, 31.91, 19
2 0 -2, 32.25, 48
2 1 -1, 37.26, 23
2 2 -2, 44.52, 32
0 0 4, 45.20, 26
3 1 -1, 56.53, 26
3 1 -5, 57.29, 25

Structural model:
Cell lengths 5.5520, 5.9862, 9.6789 Å; angles 90.00, 124.00, 90.00 degrees
Element x y z (fractional)
Na 0.0000 0.0000 0.0000
Na 0.0000 0.5000 0.5000
Nd 0.2245 0.0742 0.7462
Nd 0.2245 0.4258 0.2462
Nd 0.7755 0.5742 0.7538
Nd 0.7755 0.9258 0.2538
Ir 0.5000 0.0000 0.5000
Ir 0.5000 0.5000 0.0000
O 0.1505 0.1739 0.4469
O 0.1505 0.3261 0.9469
O 0.2692 0.7182 0.4312
O 0.2692 0.7818 0.9312
O 0.3900 0.0506 0.2674
O 0.3900 0.4494 0.7674
O 0.6100 0.5506 0.2326
O 0.6100 0.9494 0.7326
O 0.7308 0.2182 0.0688
O 0.7308 0.2818 0.5688
O 0.8495 0.6739 0.0531
O 0.8495 0.8261 0.5531

=====

(3)
Li2InBi: calculated PXRD pattern (Cu Kα), based on a crystal structure in the Materials Project, relaxed with GGA-PBE.
Kinematic intensities with the Lorentz-polarization factor, no thermal factor.

Main lines, in order of rising 2θ (2θ = 10–80°):
index, 2theta, Rel. int.
1 1 1, 21.66, 15
2 0 0, 25.06, 100
2 2 0, 35.74, 92
3 1 1, 42.18, 9
2 2 2, 44.15, 30
4 0 0, 51.44, 16
3 3 1, 56.44, 4
4 2 0, 58.05, 40
4 2 2, 64.21, 34
5 1 1, 68.62, 3
4 4 0, 75.71, 11
5 3 1, 79.85, 3

Structural model:
Cell lengths 7.1062, 7.1062, 7.1062 Å; angles 90.00, 90.00, 90.00 degrees
Element x y z (fractional)
Li 0.2500 0.2500 0.2500
Li 0.2500 0.2500 0.7500
Li 0.2500 0.7500 0.2500
Li 0.2500 0.7500 0.7500
Li 0.7500 0.2500 0.2500
Li 0.7500 0.2500 0.7500
Li 0.7500 0.7500 0.2500
Li 0.7500 0.7500 0.7500
In 0.0000 0.0000 0.0000
In 0.0000 0.5000 0.5000
In 0.5000 0.0000 0.5000
In 0.5000 0.5000 0.0000
Bi 0.0000 0.0000 0.5000
Bi 0.0000 0.5000 0.0000
Bi 0.5000 0.0000 0.0000
Bi 0.5000 0.5000 0.5000